(1)
For Er3Cu7Si4, a crystal structure in Alexandria, relaxed with GGA-PBE gives the calculated X-ray diffraction stick pattern in this record (CuKα).
Intensities are scaled so that the largest is 100.

Atomic structure:
```
14
Lattice="7.467 -2.027 0.000 7.467 2.027 0.000 -5.357 0.000 7.194" Properties=species:S:1:pos:R:3 pbc="T T T"
Er 0.000 0.000 0.000
Er 2.929 0.000 2.212
Er 6.649 0.000 4.982
Cu -2.679 0.000 3.597
Cu -0.039 0.000 2.953
Cu -0.348 0.000 7.016
Cu 3.664 0.000 5.051
Cu 5.914 0.000 2.144
Cu 9.926 0.000 0.178
Cu 9.617 0.000 4.241
Si -2.688 0.000 6.026
Si 1.242 0.000 5.139
Si 8.336 0.000 2.055
Si 12.265 0.000 1.168
```

Peak list (12 most intense, 2θ from 10° to 80°, low angle first)
24.09°, d = 3.694 Å, intensity 33; 24.41°, d = 3.646 Å, intensity 19; 31.45°, d = 2.845 Å, intensity 30; 37.38°, d = 2.406 Å, intensity 100; 37.49°, d = 2.399 Å, intensity 80; 37.66°, d = 2.388 Å, intensity 18; 38.68°, d = 2.328 Å, intensity 18; 40.22°, d = 2.242 Å, intensity 17; 40.42°, d = 2.232 Å, intensity 24; 44.72°, d = 2.027 Å, intensity 39; 45.43°, d = 1.996 Å, intensity 21; 77.56°, d = 1.231 Å, intensity 18



(2)
For ZrSn4, a crystal structure in Alexandria, relaxed with GGA-PBE gives the calculated X-ray diffraction stick pattern in this record (CuKα).
Intensities are scaled so that the largest is 100.

Atomic structure:
```
5
Lattice="5.554 0.000 0.000 0.000 5.554 0.000 0.000 0.000 5.554" Properties=species:S:1:pos:R:3 pbc="T T T"
Zr 0.000 0.000 0.000
Sn 0.000 0.000 2.777
Sn 0.000 2.777 0.000
Sn 2.777 0.000 0.000
Sn 2.777 2.777 2.777
```

Peak list (12 most intense, 2θ from 10° to 80°, low angle first)
15.96°, d = 5.554 Å, intensity 15; 22.64°, d = 3.927 Å, intensity 13; 27.82°, d = 3.207 Å, intensity 89; 32.23°, d = 2.777 Å, intensity 100; 36.16°, d = 2.484 Å, intensity 8; 39.75°, d = 2.267 Å, intensity 6; 46.23°, d = 1.964 Å, intensity 75; 54.82°, d = 1.675 Å, intensity 43; 57.48°, d = 1.603 Å, intensity 26; 67.45°, d = 1.389 Å, intensity 12; 74.46°, d = 1.274 Å, intensity 19; 76.74°, d = 1.242 Å, intensity 35